For Na3Mg4InSi8O22F2, the GGA-PBE geometry in the Materials Project gives the calculated X-ray diffraction stick pattern in this record (a wavelength of 1.5418 Å).
Lines closer than 0.1° are merged.

Structural model:
Unit cell a=5.351 b=9.941 c=10.439 alpha=61.57 beta=83.62 gamma=76.50
Space group P1 (No. 1)
Unique sites:
Na  0.000  0.000  0.000 (multiplicity 1)
Na  0.000  0.449  0.102 (multiplicity 1)
Na  0.574  0.197  0.546 (multiplicity 1)
Mg  0.000  0.640  0.719 (multiplicity 1)
Mg  0.000  0.816  0.366 (multiplicity 1)
Mg  0.500  0.729  0.541 (multiplicity 1)
Mg  0.500  0.909  0.180 (multiplicity 1)
In  0.500  0.544  0.911 (multiplicity 1)
Si  0.208  0.927  0.713 (multiplicity 1)
Si  0.209  0.092  0.379 (multiplicity 1)
Si  0.296  0.607  0.214 (multiplicity 1)
Si  0.297  0.265  0.885 (multiplicity 1)
Si  0.704  0.178  0.213 (multiplicity 1)
Si  0.704  0.847  0.886 (multiplicity 1)
Si  0.792  0.528  0.379 (multiplicity 1)
Si  0.793  0.359  0.713 (multiplicity 1)
O  0.079  0.499  0.313 (multiplicity 1)
O  0.080  0.266  0.780 (multiplicity 1)
O  0.209  0.072  0.546 (multiplicity 1)
O  0.221  0.441  0.876 (multiplicity 1)
O  0.230  0.772  0.217 (multiplicity 1)
O  0.282  0.757  0.714 (multiplicity 1)
O  0.282  0.924  0.381 (multiplicity 1)
O  0.287  0.615  0.056 (multiplicity 1)
O  0.297  0.119  0.041 (multiplicity 1)
O  0.421  0.202  0.294 (multiplicity 1)
O  0.422  0.948  0.799 (multiplicity 1)
O  0.579  0.252  0.800 (multiplicity 1)
O  0.581  0.503  0.294 (multiplicity 1)
O  0.704  0.840  0.041 (multiplicity 1)
O  0.714  0.328  0.056 (multiplicity 1)
O  0.717  0.528  0.714 (multiplicity 1)
O  0.718  0.695  0.381 (multiplicity 1)
O  0.770  0.009  0.218 (multiplicity 1)
O  0.780  0.682  0.876 (multiplicity 1)
O  0.791  0.381  0.546 (multiplicity 1)
O  0.917  0.955  0.778 (multiplicity 1)
O  0.918  0.187  0.316 (multiplicity 1)
F  0.211  0.626  0.548 (multiplicity 1)
F  0.788  0.827  0.548 (multiplicity 1)

Peak list (10 most intense, 2θ = 15–90°, low angle first)
- 2θ 18.0, intensity 40
- 2θ 25.8, intensity 100
- 2θ 26.8, intensity 38
- 2θ 28.1, intensity 71
- 2θ 32.4, intensity 97
- 2θ 32.5, intensity 42
- 2θ 34.0, intensity 42
- 2θ 35.1, intensity 64
- 2θ 38.6, intensity 35
- 2θ 40.9, intensity 40